For Mn2Te3O8, DFT lattice parameters and positions (PBE+U) gives the simulated powder XRD pattern in this record (Cu Kα, 1.54184 Å).
Neutral-atom scattering factors, no anomalous dispersion.

Lattice parameters (Å, degrees): 13.0954 5.5050 12.0527 90.00 97.82 90.00
Space group C2/c (No. 15)
Inequivalent atoms, fractional coordinates:
Mn1 0.2298 0.1958 0.3512
Te1 0.0000 0.1356 0.7500
Te2 0.1391 0.1845 0.0578
O1 0.0757 0.0760 0.3545
O2 0.1169 0.1150 0.6423
O3 0.1963 0.3583 0.1878
O4 0.2374 0.4860 0.9719

Most intense lines, 2θ = 10–90°, low angle first:
(hkl)	2θ (°)	intensity
1 1 0	17.50	78.2
2 0 2	21.56	59.5
3 1 -1	26.47	92.0
1 1 3	29.26	100.0
4 0 -2	29.50	35.1
2 0 -4	31.23	40.7